Computed powder diffractogram
Compound: Sm4Dy3Ho2
Radiation: Cu Ka
Structure: a structure optimized by DFT (PBE)
Peak positions follow from Bragg's law for the DFT cell and can differ from measured ones.

Principal peaks in the range 2θ = 10–90°, low angle first:
| index | 2theta | I/Imax |
| --- | --- | --- |
| 2 0 2 | 31.30 | 99 |
| 3 3 0 | 31.75 | 100 |
| 3 3 2 | 41.00 | 9 |
| 2 6 2 | 45.19 | 34 |
| 0 0 4 | 51.88 | 9 |
| 5 3 2 | 56.28 | 34 |
| 3 9 0 | 56.59 | 11 |
| 3 3 4 | 62.11 | 29 |
| 5 9 2 | 75.14 | 9 |
| 3 9 4 | 80.33 | 8 |

Structure:
a = 9.7738 Å, b = 16.8918 Å, c = 7.0500 Å
α = 90.00°, β = 90.00°, γ = 90.00°
Space group Cccm (No. 66)
Symmetry-distinct sites (fractional):
Sm 0.1504 0.1727 0.0000 [8 per cell]
Sm 0.1656 0.4866 0.0000 [8 per cell]
Dy 0.0000 0.0000 0.2500 [4 per cell]
Dy 0.0000 0.3304 0.2500 [8 per cell]
Ho 0.1845 0.1610 0.5000 [8 per cell]